The following is a simulated XRD peak list of Na3Cr3AsO8. It was derived from DFT lattice parameters and positions (GGA+U), using Cu Kα, 1.54184 Å.
Lines closer than 0.1° are merged.

Cell and atoms:
```
Na3Cr3AsO8
1.0
3.0329 1.7510 5.4671
-3.0329 1.7510 5.4671
0.0000 -3.5020 5.4671
Na Cr As O
3 3 1 8
Cartesian
-1.5164 -0.8755 5.4671 Na
-1.5164 0.8755 10.9342 Na
0.0000 1.7510 5.4671 Na
-3.0329 0.0000 8.2007 Cr
-1.5164 0.8755 2.7336 Cr
1.5164 0.8755 2.7336 Cr
0.0000 0.0000 8.2007 As
0.0000 0.0000 3.8005 O
-1.5052 -0.8690 9.2424 O
0.0000 -1.7381 7.1589 O
-1.5052 0.8690 7.1589 O
1.5052 -0.8690 9.2424 O
0.0000 1.7381 9.2424 O
1.5052 0.8690 7.1589 O
0.0000 0.0000 12.6008 O
```

Most intense lines, 2θ = 5–70°, in order of rising 2θ:
16.21°, intensity 97
17.73°, intensity 11
32.76°, intensity 16
34.59°, intensity 20
35.90°, intensity 27
40.80°, intensity 100
52.32°, intensity 16
56.98°, intensity 27
61.11°, intensity 28
63.68°, intensity 11